1.
Structure and computed X-ray powder pattern of Tb2Pm3Cd2 (the PBE geometry in Alexandria; Cu Kα (λ = 1.5418 Å)).
No peak broadening, texture or thermal motion is included.

Crystal structure
```
data_Tb2Pm3Cd2
_chemical_formula_sum 'Tb6 Pm9 Cd6'
_symmetry_space_group_name_H-M 'R -3 m'
_symmetry_Int_Tables_number 166
_symmetry_space_group_name_Hall '-R 3 2"'
_cell_length_a 5.4756
_cell_length_b 5.4756
_cell_length_c 24.2276
_cell_angle_alpha 90.00
_cell_angle_beta 90.00
_cell_angle_gamma 120.00
loop_
_atom_site_label
_atom_site_type_symbol
_atom_site_fract_x
_atom_site_fract_y
_atom_site_fract_z
_atom_site_occupancy
Tb1 Tb 0.0000 0.0000 0.0738 1
Pm1 Pm 0.0000 0.0000 0.3419 1
Pm2 Pm 0.0000 0.0000 0.5000 1
Cd1 Cd 0.0000 0.0000 0.2106 1
```

Most intense lines, 10° ≤ 2θ ≤ 90°, low angle first:
2theta, d [Å], Rel. int., index
26.30, 3.389, 8, 0 1 5
32.01, 2.796, 92, 1 0 7
32.71, 2.738, 100, 1 1 0
46.42, 1.956, 33, 0 2 7
56.63, 1.625, 18, 0 1 14
57.94, 1.592, 33, 2 1 7
58.38, 1.581, 19, 3 0 0
66.94, 1.398, 7, 2 0 14
68.55, 1.369, 12, 2 2 0
76.53, 1.245, 12, 1 2 14
77.67, 1.229, 14, 1 3 7
86.85, 1.122, 5, 4 0 7

***

2.
Structure and computed X-ray powder pattern of Tb2Pm4Cd (the PBE geometry in Alexandria; Cu Kα (λ = 1.5418 Å)).
No peak broadening, texture or thermal motion is included.

Crystal structure
```
data_Tb2Pm4Cd
_chemical_formula_sum 'Tb4 Pm8 Cd2'
_symmetry_space_group_name_H-M 'C m m m'
_symmetry_Int_Tables_number 65
_symmetry_space_group_name_Hall '-C 2 2'
_cell_length_a 3.6087
_cell_length_b 34.9687
_cell_length_c 3.5853
_cell_angle_alpha 90.00
_cell_angle_beta 90.00
_cell_angle_gamma 90.00
loop_
_atom_site_label
_atom_site_type_symbol
_atom_site_fract_x
_atom_site_fract_y
_atom_site_fract_z
_atom_site_occupancy
Tb1 Tb 0.0000 0.2072 0.0000 1
Pm1 Pm 0.0000 0.0616 0.0000 1
Pm2 Pm 0.0000 0.3633 0.5000 1
Cd1 Cd 0.0000 0.5000 0.5000 1
```

Most intense lines, 10° ≤ 2θ ≤ 90°, low angle first:
2theta, d [Å], Rel. int., index
26.88, 3.317, 16, 0 4 1
29.25, 3.054, 22, 0 6 1
30.56, 2.925, 100, 1 7 0
32.29, 2.772, 63, 0 8 1
35.38, 2.537, 64, 1 1 1
35.95, 2.498, 24, 0 14 0
50.59, 1.804, 14, 2 0 0
50.94, 1.793, 13, 0 0 2
53.31, 1.719, 36, 1 15 1
60.59, 1.528, 31, 1 7 2
61.30, 1.512, 25, 2 8 1
85.70, 1.134, 13, 2 14 2